[1]
Calculated X-ray diffraction stick pattern
Compound: RbFe2Br6Cl2
Radiation: λ = 1.5418 Å (Cu Kα)
Structure: a cell relaxed with PBE
Lines closer than 0.1° are merged.

Largest 6 diffraction maxima, in order of rising 2θ, 2θ = 10–80°:
| d/Å | two_theta | I/Imax |
| --- | --- | --- |
| 5.374 | 16.50 | 68 |
| 5.100 | 17.39 | 50 |
| 3.969 | 22.40 | 60 |
| 3.437 | 25.93 | 100 |
| 3.019 | 29.59 | 51 |
| 2.968 | 30.11 | 59 |

Crystal structure
```
RbFe2Br6Cl2
1.0
7.3001 0.0000 0.0000
-3.6500 6.3220 0.0000
0.0000 0.0000 10.2003
Rb Fe Br Cl
1 2 6 2
Direct
0.0000 0.0000 0.0000
0.3333 0.6667 0.7254
0.6667 0.3333 0.2746
0.0025 0.5889 0.8058
0.4111 0.4136 0.8058
0.4136 0.0025 0.1942
0.5864 0.9975 0.8058
0.5889 0.5864 0.1942
0.9975 0.4111 0.1942
0.3333 0.6667 0.5156
0.6667 0.3333 0.4844
```



[2]
Calculated X-ray diffraction stick pattern
Compound: Ga3Br3Cl2
Radiation: λ = 1.5418 Å (Cu Kα)
Structure: a cell relaxed with PBE
Lines closer than 0.1° are merged.

Largest 6 diffraction maxima, in order of rising 2θ, 2θ = 10–80°:
| d/Å | two_theta | I/Imax |
| --- | --- | --- |
| 4.681 | 18.96 | 70 |
| 4.492 | 19.76 | 91 |
| 3.537 | 25.18 | 78 |
| 2.811 | 31.84 | 100 |
| 2.377 | 37.85 | 86 |
| 2.326 | 38.70 | 49 |

Crystal structure
```
Ga3Br3Cl2
1.0
1.9444 -4.5507 0.0000
1.9444 4.5507 0.0000
-0.6385 0.0000 28.0848
Ga Br Cl
6 6 4
Direct
0.1393 0.8607 0.7500
0.3428 0.6179 0.0767
0.3821 0.6572 0.4233
0.6179 0.3428 0.5767
0.6572 0.3821 0.9233
0.8607 0.1393 0.2500
0.1349 0.8566 0.6444
0.1434 0.8651 0.8556
0.4375 0.5625 0.7500
0.5625 0.4375 0.2500
0.8566 0.1349 0.1444
0.8651 0.1434 0.3556
0.1564 0.3783 0.9474
0.3783 0.1564 0.4474
0.6217 0.8436 0.5526
0.8436 0.6217 0.0526
```